Diffraction record for Cd3Ag2Pt2. The powder diffractogram is theoretical, not measured: it uses the GGA-PBE geometry in Alexandria and Cu Ka.

```
data_Cd3Ag2Pt2
_chemical_formula_sum 'Cd6 Ag4 Pt4'
_cell_length_a 4.0324
_cell_length_b 21.5592
_cell_length_c 2.9573
_cell_angle_alpha 90.00
_cell_angle_beta 90.00
_cell_angle_gamma 90.00
_space_group_name_H-M_alt 'C m m m'
_space_group_IT_number 65
_space_group_name_Hall '-C 2 2'
loop_
_atom_site_label
_atom_site_type_symbol
_atom_site_fract_x
_atom_site_fract_y
_atom_site_fract_z
Cd1 Cd 0.0000 0.0000 0.0000
Cd2 Cd 0.0000 0.1386 0.0000
Ag1 Ag 0.0000 0.2940 0.5000
Pt1 Pt 0.0000 0.4311 0.5000
```

Most intense lines, 2θ from 10° to 80°, by angle:
- (1 7 0), 36.7°, intensity 100
- (1 1 1), 38.0°, intensity 95
- (0 6 1), 39.5°, intensity 27
- (2 0 0), 45.0°, intensity 29
- (0 8 1), 45.5°, intensity 39
- (2 6 1), 61.3°, intensity 15
- (2 8 1), 65.9°, intensity 25
- (1 7 2), 75.1°, intensity 24
- (3 7 0), 77.5°, intensity 31
- (3 1 1), 78.3°, intensity 11

***

Diffraction record for ErTmPa. The powder diffractogram is theoretical, not measured: it uses the GGA-PBE geometry in Alexandria and Cu Ka.

```
data_ErTmPa
_chemical_formula_sum 'Er4 Tm4 Pa4'
_cell_length_a 10.7231
_cell_length_b 4.7896
_cell_length_c 6.8792
_cell_angle_alpha 90.00
_cell_angle_beta 107.02
_cell_angle_gamma 90.00
_space_group_name_H-M_alt 'C 1 2/m 1'
_space_group_IT_number 12
loop_
_space_group_symop_operation_xyz
'x,y,z'
'-x,-y,-z'
'-x,y,-z'
'x,-y,z'
'x+1/2,y+1/2,z'
'-x+1/2,-y+1/2,-z'
'-x+1/2,y+1/2,-z'
'x+1/2,-y+1/2,z'
loop_
_atom_site_label
_atom_site_type_symbol
_atom_site_fract_x
_atom_site_fract_y
_atom_site_fract_z
Er1 Er 0.1706 0.0000 0.0903
Tm1 Tm 0.0023 0.5000 0.2630
Pa1 Pa 0.1669 0.0000 0.5728
```

Most intense lines, 2θ from 10° to 80°, by angle:
- (1 1 -2), 32.0°, intensity 100
- (3 1 0), 32.2°, intensity 100
- (2 0 2), 36.5°, intensity 35
- (0 2 0), 37.6°, intensity 66
- (2 2 2), 53.4°, intensity 24
- (4 2 -2), 54.2°, intensity 23
- (1 1 4), 62.9°, intensity 14
- (5 1 2), 63.1°, intensity 14
- (3 3 0), 64.4°, intensity 41
- (7 1 -2), 64.6°, intensity 14

***

Diffraction record for CeAlZnPt2. The powder diffractogram is theoretical, not measured: it uses the GGA-PBE geometry in Alexandria and Cu Ka.

```
data_CeAlZnPt2
_chemical_formula_sum 'Ce2 Al2 Zn2 Pt4'
_cell_length_a 4.0188
_cell_length_b 4.0188
_cell_length_c 11.8941
_cell_angle_alpha 90.00
_cell_angle_beta 90.00
_cell_angle_gamma 90.00
_space_group_name_H-M_alt 'I -4 m 2'
_space_group_IT_number 119
_space_group_name_Hall 'I -4 -2'
loop_
_atom_site_label
_atom_site_type_symbol
_atom_site_fract_x
_atom_site_fract_y
_atom_site_fract_z
Ce1 Ce 0.0000 0.0000 0.0000
Al1 Al 0.0000 0.5000 0.2500
Zn1 Zn 0.0000 0.5000 0.7500
Pt1 Pt 0.0000 0.0000 0.3860
```

Most intense lines, 2θ from 10° to 80°, by angle:
- (1 0 1), 23.4°, intensity 41
- (1 1 0), 31.5°, intensity 74
- (1 0 3), 31.7°, intensity 100
- (1 1 2), 35.0°, intensity 53
- (1 1 4), 44.1°, intensity 35
- (1 0 5), 44.2°, intensity 78
- (2 0 0), 45.1°, intensity 59
- (2 1 3), 56.2°, intensity 40
- (2 1 5), 65.0°, intensity 50
- (2 2 0), 65.7°, intensity 19

***

Diffraction record for Y2AlCd. The powder diffractogram is theoretical, not measured: it uses the GGA-PBE geometry in Alexandria and Cu Ka.

```
data_Y2AlCd
_chemical_formula_sum 'Y2 Al1 Cd1'
_cell_length_a 5.2354
_cell_length_b 5.2354
_cell_length_c 3.6483
_cell_angle_alpha 90.00
_cell_angle_beta 90.00
_cell_angle_gamma 90.00
_space_group_name_H-M_alt 'P 4/m m m'
_space_group_IT_number 123
_space_group_name_Hall '-P 4 2'
loop_
_atom_site_label
_atom_site_type_symbol
_atom_site_fract_x
_atom_site_fract_y
_atom_site_fract_z
Y1 Y 0.0000 0.5000 0.0000
Al1 Al 0.0000 0.0000 0.5000
Cd1 Cd 0.5000 0.5000 0.5000
```

Most intense lines, 2θ from 10° to 80°, by angle:
- (1 0 0), 16.9°, intensity 21
- (1 0 1), 29.8°, intensity 11
- (2 0 0), 34.3°, intensity 51
- (1 1 1), 34.5°, intensity 100
- (2 1 1), 46.1°, intensity 6
- (2 2 0), 49.2°, intensity 18
- (0 0 2), 50.0°, intensity 8
- (3 1 1), 61.5°, intensity 36
- (2 0 2), 62.0°, intensity 17
- (2 2 2), 72.8°, intensity 11

***

Diffraction record for Pr3Ag2Pd6. The powder diffractogram is theoretical, not measured: it uses the GGA-PBE geometry in Alexandria and Cu Ka.

```
data_Pr3Ag2Pd6
_chemical_formula_sum 'Pr12 Ag8 Pd24'
_cell_length_a 9.8031
_cell_length_b 9.8031
_cell_length_c 9.8031
_cell_angle_alpha 90.00
_cell_angle_beta 90.00
_cell_angle_gamma 90.00
_space_group_name_H-M_alt 'I m -3 m'
_space_group_IT_number 229
_space_group_name_Hall '-I 4 2 3'
loop_
_atom_site_label
_atom_site_type_symbol
_atom_site_fract_x
_atom_site_fract_y
_atom_site_fract_z
Pr1 Pr 0.0000 0.0000 0.2991
Ag1 Ag 0.2500 0.2500 0.2500
Pd1 Pd 0.0000 0.3442 0.3442
```

Most intense lines, 2θ from 10° to 80°, by angle:
- (1 1 0), 12.8°, intensity 21
- (3 1 0), 28.8°, intensity 14
- (2 2 2), 31.6°, intensity 25
- (3 2 1), 34.2°, intensity 21
- (4 0 0), 36.7°, intensity 12
- (3 3 0), 39.0°, intensity 100
- (4 2 0), 41.2°, intensity 17
- (6 2 2), 62.9°, intensity 13
- (6 3 3), 70.6°, intensity 29
- (7 4 1), 79.4°, intensity 10